Entry 1:
Computed X-ray powder pattern
Compound: FeNiS2
Radiation: Cu Kα
Structure: a crystal structure in the Materials Project, relaxed with GGA-PBE
Lines closer than 0.1° are merged.

Principal peaks in the range 2θ = 5–70°, low angle first:
hkl 1 0 0, 30.2°, intensity 60.1
hkl 0 0 2, 34.8°, intensity 6.0
hkl 1 0 1, 35.0°, intensity 32.1
hkl 0 1 2, 46.8°, intensity 100.0
hkl 1 1 0, 53.7°, intensity 46.6
hkl 1 0 3, 62.5°, intensity 4.4
hkl 2 0 0, 62.9°, intensity 6.7
hkl 1 1 2, 65.6°, intensity 5.2
hkl 0 2 1, 65.7°, intensity 4.3

Crystal structure
Cell lengths 3.4133, 3.4133, 5.1538 Å; angles 90.00, 90.00, 120.00 degrees
Space group P-3m1 (No. 164)
Unique sites:
Fe 0.0000 0.0000 0.0000 [1 per cell]
Ni 0.0000 0.0000 0.5000 [1 per cell]
S 0.3333 0.6667 0.2328 [2 per cell]

Entry 2:
Computed X-ray powder pattern
Compound: FeNi2S4
Radiation: Cu Kα
Structure: a crystal structure in the Materials Project, relaxed with GGA-PBE
Lines closer than 0.1° are merged.

Principal peaks in the range 2θ = 5–70°, low angle first:
hkl 1 0 1, 16.4°, intensity 17.4
hkl 1 1 2, 26.9°, intensity 29.9
hkl 1 0 3, 31.6°, intensity 100.0
hkl 2 1 1, 31.7°, intensity 44.8
hkl 0 0 4, 38.4°, intensity 66.0
hkl 0 2 4, 47.4°, intensity 9.1
hkl 0 1 5, 50.5°, intensity 32.5
hkl 3 2 1, 50.7°, intensity 22.7
hkl 0 4 0, 55.2°, intensity 19.6
hkl 2 2 4, 55.4°, intensity 78.6
hkl 4 0 0, 55.7°, intensity 19.6
hkl 1 4 3, 65.1°, intensity 8.7

Crystal structure
Cell lengths 6.5959, 6.6539, 9.3822 Å; angles 90.00, 90.00, 90.00 degrees
Space group Imma (No. 74)
Unique sites:
Fe 0.2500 0.2500 0.2500 [4 per cell]
Ni 0.0000 0.0000 0.0000 [4 per cell]
Ni 0.0000 0.2500 0.6264 [4 per cell]
S 0.0000 0.0211 0.2446 [8 per cell]
S 0.2367 0.2500 0.0108 [8 per cell]